For HoTaN2O, a DFT-relaxed cell (PBE, OQMD) gives the calculated X-ray diffraction stick pattern in this record (Cu Kα (λ = 1.5418 Å)).

Peak list (8 most intense, 2θ = 10–80°, in order of rising 2θ)
- 2θ = 31.50°, I = 29, (2 0 2)
- 2θ = 32.12°, I = 100, (0 2 2)
- 2θ = 32.22°, I = 33, (2 -2 0)
- 2θ = 32.78°, I = 31, (2 0 -2)
- 2θ = 45.97°, I = 13, (0 0 4)
- 2θ = 46.10°, I = 15, (0 4 0)
- 2θ = 57.71°, I = 14, (-2 4 2)
- 2θ = 58.03°, I = 14, (-2 2 4)

Atomic structure:
Lattice parameters (Å, degrees): 7.861 7.876 7.903 89.98 87.79 89.89
Fractional coordinates of all 40 atoms:
Ho 0.019 0.252 0.039
Ho 0.038 0.248 0.518
Ho 0.454 0.750 0.981
Ho 0.476 0.752 0.469
Ho 0.524 0.248 0.531
Ho 0.546 0.250 0.019
Ho 0.962 0.752 0.482
Ho 0.981 0.748 0.961
Ta 0.238 0.494 0.755
Ta 0.249 0.490 0.258
Ta 0.254 0.014 0.755
Ta 0.261 0.009 0.242
Ta 0.739 0.991 0.758
Ta 0.746 0.986 0.245
Ta 0.751 0.510 0.742
Ta 0.762 0.506 0.245
N 0.000 0.443 0.300
N 0.000 0.557 0.700
N 0.174 0.249 0.786
N 0.197 0.938 0.003
N 0.209 0.559 0.000
N 0.292 0.049 0.502
N 0.292 0.252 0.184
N 0.307 0.448 0.500
N 0.499 0.057 0.800
N 0.501 0.943 0.200
N 0.693 0.552 0.500
N 0.708 0.748 0.816
N 0.708 0.951 0.498
N 0.791 0.441 0.000
N 0.803 0.062 0.997
N 0.826 0.751 0.214
O 0.002 0.930 0.702
O 0.211 0.752 0.330
O 0.331 0.746 0.716
O 0.499 0.571 0.202
O 0.501 0.429 0.798
O 0.669 0.254 0.284
O 0.789 0.248 0.670
O 0.998 0.070 0.298